Record 1
For GaGeRh3, a cell relaxed with PBE gives the simulated powder diffractogram in this record (Cu Kα).
Lines closer than 0.1° are merged.

```
GaGeRh3
1.0
4.988 -5.251 0.000
4.988 5.251 0.000
-1.162 0.000 5.746
Ga Ge Rh
4 4 12
direct
0.007 0.993 0.750
0.288 0.712 0.750
0.712 0.288 0.250
0.993 0.007 0.250
0.186 0.513 0.283
0.487 0.814 0.217
0.513 0.186 0.783
0.814 0.487 0.717
0.035 0.711 0.000
0.043 0.301 0.532
0.289 0.965 0.500
0.301 0.043 0.032
0.318 0.422 0.922
0.422 0.318 0.422
0.578 0.682 0.578
0.682 0.578 0.078
0.699 0.957 0.968
0.711 0.035 0.500
0.957 0.699 0.468
0.965 0.289 0.000
```

The 10 most intense peaks (10° ≤ 2θ ≤ 90°), by angle:
2θ (°)	Rel. int.
35.30	78
36.77	49
37.71	68
38.40	55
39.40	51
40.24	100
40.66	74
43.13	47
43.58	60
51.05	35

Record 2
For Na3Sn4Br12, a cell relaxed with PBE gives the simulated powder diffractogram in this record (Cu Kα).
Lines closer than 0.1° are merged.

```
Na3Sn4Br12
1.0
-5.544 5.544 5.544
5.544 -5.544 5.544
5.544 5.544 -5.544
Na Sn Br
3 4 12
direct
0.000 0.500 0.500
0.500 0.000 0.500
0.500 0.500 0.000
0.000 0.000 0.500
0.000 0.500 0.000
0.500 0.000 0.000
0.500 0.500 0.500
0.121 0.811 0.310
0.189 0.310 0.498
0.189 0.690 0.879
0.310 0.121 0.811
0.310 0.498 0.189
0.498 0.189 0.310
0.502 0.811 0.690
0.690 0.502 0.811
0.690 0.879 0.189
0.811 0.310 0.121
0.811 0.690 0.502
0.879 0.189 0.690
```

The 10 most intense peaks (10° ≤ 2θ ≤ 90°), by angle:
2θ (°)	Rel. int.
15.99	100
25.40	82
30.16	57
32.30	50
36.23	72
39.83	67
47.84	41
50.76	33
69.97	19
72.31	48

Record 3
For CoNi2As8, a cell relaxed with PBE gives the simulated powder diffractogram in this record (Cu Kα).
Lines closer than 0.1° are merged.

```
CoNi2As8
1.0
4.695 0.000 0.000
-0.224 6.789 0.000
-0.203 -2.598 6.559
Co Ni As
1 2 8
direct
0.000 0.000 0.000
0.250 0.629 0.371
0.750 0.371 0.629
0.240 0.407 0.576
0.298 0.873 0.717
0.305 0.832 0.169
0.339 0.292 0.118
0.661 0.708 0.882
0.695 0.168 0.831
0.702 0.127 0.283
0.760 0.593 0.424
```

The 10 most intense peaks (10° ≤ 2θ ≤ 90°), by angle:
2θ (°)	Rel. int.
15.49	100
22.87	58
31.27	56
32.32	53
32.63	71
35.01	80
38.40	67
46.72	52
50.44	53
54.57	44

Record 4
For NdZn3CuNi, a cell relaxed with PBE gives the simulated powder diffractogram in this record (Cu Kα).
Lines closer than 0.1° are merged.

```
NdZn3CuNi
1.0
3.166 -6.198 0.000
3.166 6.198 0.000
0.000 0.000 5.340
Nd Zn Cu Ni
2 6 2 2
direct
0.220 0.780 0.750
0.780 0.220 0.250
0.197 0.197 0.000
0.197 0.197 0.500
0.352 0.648 0.250
0.648 0.352 0.750
0.803 0.803 0.000
0.803 0.803 0.500
0.445 0.555 0.750
0.555 0.445 0.250
0.148 0.852 0.250
0.852 0.148 0.750
```

The 10 most intense peaks (10° ≤ 2θ ≤ 90°), by angle:
2θ (°)	Rel. int.
28.19	46
30.79	30
31.74	65
33.43	31
36.65	56
42.67	87
42.78	25
44.28	28
44.38	100
60.12	30

Record 5
For NdNpTeSe2, a cell relaxed with PBE gives the simulated powder diffractogram in this record (Cu Kα).
Lines closer than 0.1° are merged.

```
NdNpTeSe2
1.0
4.605 0.000 0.000
0.000 4.605 0.000
0.000 0.000 14.086
Nd Np Te Se
2 2 2 4
direct
0.000 0.000 0.000
0.500 0.500 0.500
0.000 0.000 0.259
0.500 0.500 0.759
0.000 0.000 0.630
0.500 0.500 0.130
0.000 0.500 0.375
0.000 0.500 0.875
0.500 0.000 0.375
0.500 0.000 0.875
```

The 10 most intense peaks (10° ≤ 2θ ≤ 90°), by angle:
2θ (°)	Rel. int.
20.29	24
27.12	100
27.39	32
30.24	33
37.42	32
37.62	41
39.13	48
48.26	42
55.26	21
66.90	19

Record 6
For LiTb12Ru6, a cell relaxed with PBE gives the simulated powder diffractogram in this record (Cu Kα).
Lines closer than 0.1° are merged.

```
LiTb12Ru6
1.0
6.341 3.661 3.696
-6.341 3.661 3.696
0.000 -7.322 3.696
Li Tb Ru
1 12 6
direct
0.000 0.000 0.000
0.070 0.665 0.920
0.080 0.930 0.335
0.177 0.414 0.555
0.335 0.080 0.930
0.414 0.555 0.177
0.445 0.823 0.586
0.555 0.177 0.414
0.586 0.445 0.823
0.665 0.920 0.070
0.823 0.586 0.445
0.920 0.070 0.665
0.930 0.335 0.080
0.139 0.612 0.304
0.304 0.139 0.612
0.388 0.696 0.861
0.612 0.304 0.139
0.696 0.861 0.388
0.861 0.388 0.696
```

The 10 most intense peaks (10° ≤ 2θ ≤ 90°), by angle:
2θ (°)	Rel. int.
13.97	16
22.86	33
26.83	74
28.15	23
33.33	38
33.57	41
37.53	100
39.07	62
53.20	17
55.29	22

Record 7
For CuTePd3, a cell relaxed with PBE gives the simulated powder diffractogram in this record (Cu Kα).
Lines closer than 0.1° are merged.

```
CuTePd3
1.0
5.134 0.000 0.000
0.000 4.501 0.000
-2.502 0.000 7.040
Cu Te Pd
2 2 6
direct
0.035 0.250 0.403
0.965 0.750 0.597
0.404 0.250 0.201
0.596 0.750 0.799
0.164 0.750 0.990
0.251 0.250 0.776
0.329 0.750 0.413
0.671 0.250 0.587
0.749 0.750 0.224
0.836 0.250 0.010
```

The 10 most intense peaks (10° ≤ 2θ ≤ 90°), by angle:
2θ (°)	Rel. int.
36.24	21
36.53	29
40.07	70
40.45	100
41.59	95
41.86	70
55.34	17
73.05	17
73.83	20
77.64	17

Record 8
For CdFeAg, a cell relaxed with PBE gives the simulated powder diffractogram in this record (Cu Kα).
Lines closer than 0.1° are merged.

```
CdFeAg
1.0
2.865 0.000 0.000
0.000 2.865 0.000
0.000 0.000 12.277
Cd Fe Ag
2 2 2
direct
0.000 0.000 0.000
0.500 0.500 0.500
0.000 0.000 0.662
0.500 0.500 0.162
0.000 0.000 0.315
0.500 0.500 0.815
```

The 10 most intense peaks (10° ≤ 2θ ≤ 90°), by angle:
2θ (°)	Rel. int.
29.09	6
32.08	9
38.35	100
44.27	15
44.74	32
64.76	18
65.12	10
77.50	9
78.18	23
82.14	9

Number 1 is which compound?
GaGeRh3